No. 1
This entry pairs a crystal structure of Ta2V2Zn with its simulated PXRD pattern. Radiation: CuKα. Structure: a crystal structure in Alexandria, relaxed with GGA-PBE.
No peak broadening, texture or thermal motion is included.

Cell and atoms:
```
Ta2V2Zn
1.0
6.7809 0.0000 0.0000
0.0000 6.7809 0.0000
0.0000 0.0000 3.5135
Ta V Zn
4 4 2
Cartesian
1.1837 2.2067 0.0000
2.2067 5.5972 0.0000
4.5742 1.1837 0.0000
5.5972 4.5742 0.0000
0.8501 4.2406 1.7568
2.5403 0.8501 1.7568
4.2406 5.9308 1.7568
5.9308 2.5403 1.7568
0.0000 0.0000 1.7568
3.3904 3.3904 1.7568
```

Principal peaks in the range 15° ≤ 2θ ≤ 90°, by angle:
| 2θ (°) | I/Imax |
| --- | --- |
| 29.45 | 34 |
| 36.84 | 43 |
| 39.24 | 100 |
| 42.14 | 30 |
| 62.34 | 22 |
| 64.00 | 15 |



No. 2
This entry pairs a crystal structure of Zr2TaV9 with its simulated PXRD pattern. Radiation: CuKα. Structure: a crystal structure in Alexandria, relaxed with GGA-PBE.
No peak broadening, texture or thermal motion is included.

Cell and atoms:
```
Zr2TaV9
1.0
2.6068 1.5050 8.0688
-2.6068 1.5050 8.0688
0.0000 -3.0100 8.0688
Zr Ta V
2 1 9
Cartesian
0.0000 0.0000 3.4694
0.0000 0.0000 20.7371
0.0000 0.0000 0.0000
-1.3055 -0.7537 10.0065
0.0000 0.0000 8.0564
0.0000 -1.5074 14.1999
-1.3055 0.7537 14.1999
0.0000 0.0000 12.1032
1.3055 -0.7537 10.0065
0.0000 1.5074 10.0065
0.0000 0.0000 16.1501
1.3055 0.7537 14.1999
```

Principal peaks in the range 15° ≤ 2θ ≤ 90°, by angle:
| 2θ (°) | I/Imax |
| --- | --- |
| 32.62 | 42 |
| 34.40 | 48 |
| 35.72 | 31 |
| 40.12 | 38 |
| 41.23 | 100 |
| 66.28 | 23 |